# 1
This entry pairs a crystal structure of Ho5In4Rh with its computed XRD peak list. Radiation: Cu Kα, 1.54184 Å. Structure: a cell relaxed with GGA-PBE.
Kinematic intensities with the Lorentz-polarization factor, no thermal factor.

Structure:
Lattice parameters (Å, degrees): 3.478 3.478 20.586 90.00 90.00 90.00
Positions (direct):
Ho  0.000  0.000  0.000
Ho  0.000  0.000  0.209
Ho  0.000  0.000  0.420
Ho  0.000  0.000  0.580
Ho  0.000  0.000  0.791
In  0.500  0.500  0.104
In  0.500  0.500  0.312
In  0.500  0.500  0.688
In  0.500  0.500  0.896
Rh  0.500  0.500  0.500

Top 8 peaks for 15 to 90 degrees two-theta, in order of rising 2θ:
33.74°, I = 100
36.54°, I = 46
43.99°, I = 8
52.64°, I = 16
58.47°, I = 13
64.00°, I = 31
70.95°, I = 7
89.02°, I = 7

***

# 2
This entry pairs a crystal structure of Ba2TmAg2Se4 with its computed XRD peak list. Radiation: Cu Kα, 1.54184 Å. Structure: a cell relaxed with GGA-PBE.
Kinematic intensities with the Lorentz-polarization factor, no thermal factor.

Structure:
Lattice parameters (Å, degrees): 8.426 8.426 7.992 113.60 113.60 28.60
Positions (direct):
Ba  0.137  0.137  0.086
Ba  0.863  0.863  0.914
Tm  0.000  0.000  0.500
Ag  0.313  0.313  0.497
Ag  0.687  0.687  0.503
Se  0.188  0.188  0.734
Se  0.486  0.486  0.745
Se  0.514  0.514  0.255
Se  0.812  0.812  0.266

Top 8 peaks for 15 to 90 degrees two-theta, in order of rising 2θ:
27.40°, I = 65
31.26°, I = 83
32.04°, I = 100
33.56°, I = 76
36.24°, I = 36
37.07°, I = 25
43.49°, I = 43
45.13°, I = 30

***

# 3
This entry pairs a crystal structure of GaCo4 with its computed XRD peak list. Radiation: Cu Kα, 1.54184 Å. Structure: a cell relaxed with GGA-PBE.
Kinematic intensities with the Lorentz-polarization factor, no thermal factor.

Structure:
Lattice parameters (Å, degrees): 4.376 6.669 8.739 102.31 99.59 109.00
Positions (direct):
Ga  0.206  0.150  0.373
Ga  0.212  0.660  0.132
Ga  0.788  0.340  0.868
Ga  0.794  0.850  0.627
Co  0.003  0.249  0.124
Co  0.003  0.746  0.378
Co  0.191  0.641  0.626
Co  0.194  0.145  0.878
Co  0.393  0.048  0.624
Co  0.404  0.547  0.375
Co  0.406  0.554  0.876
Co  0.416  0.057  0.122
Co  0.584  0.943  0.878
Co  0.594  0.446  0.124
Co  0.596  0.453  0.625
Co  0.607  0.952  0.376
Co  0.806  0.855  0.122
Co  0.809  0.359  0.374
Co  0.997  0.254  0.622
Co  0.997  0.751  0.876

Top 8 peaks for 15 to 90 degrees two-theta, in order of rising 2θ:
43.81°, I = 50
43.89°, I = 100
44.06°, I = 49
51.09°, I = 62
51.28°, I = 30
74.95°, I = 9
75.24°, I = 9
75.40°, I = 26

***

# 4
This entry pairs a crystal structure of Ta2IrOs with its computed XRD peak list. Radiation: Cu Kα, 1.54184 Å. Structure: a cell relaxed with GGA-PBE.
Kinematic intensities with the Lorentz-polarization factor, no thermal factor.

Structure:
Lattice parameters (Å, degrees): 2.952 4.550 4.955 90.00 98.00 90.00
Positions (direct):
Ta  0.000  0.000  0.000
Ta  0.174  0.500  0.604
Ir  0.540  0.500  0.125
Os  0.634  0.000  0.497

Top 8 peaks for 15 to 90 degrees two-theta, in order of rising 2θ:
36.59°, I = 69
39.00°, I = 100
39.61°, I = 64
41.83°, I = 48
43.03°, I = 68
55.05°, I = 27
71.46°, I = 17
83.23°, I = 17